(1)
Starting from a crystal structure in the Materials Project, relaxed with PBE+U, the XRD peak list of CaLaFe2O6 was computed for λ = 1.5418 Å (Cu Kα).
Neutral-atom scattering factors, no anomalous dispersion.

Principal peaks in the range 10 to 90 degrees two-theta, by angle:
19.7°, intensity 29; 32.4°, intensity 100; 38.2°, intensity 19; 40.0°, intensity 10; 46.5°, intensity 33; 51.0°, intensity 8; 57.8°, intensity 41; 67.9°, intensity 16; 71.5°, intensity 6; 77.3°, intensity 14

Structure:
abc: 7.8125 5.5231 5.5209
angles: 90.00 90.00 90.00
Positions (direct):
Ca 0.0000 0.2136 0.0000
Ca 0.5000 0.7864 0.5000
La 0.0000 0.7223 0.5158
La 0.5000 0.2777 0.0158
Fe 0.2492 0.2499 0.5099
Fe 0.2508 0.7501 0.0099
Fe 0.7492 0.7501 0.0099
Fe 0.7508 0.2499 0.5099
O 0.0000 0.2636 0.4304
O 0.0000 0.7667 0.0809
O 0.2081 0.4673 0.7926
O 0.2116 0.9721 0.7317
O 0.2884 0.0279 0.2317
O 0.2919 0.5327 0.2926
O 0.5000 0.2333 0.5809
O 0.5000 0.7364 0.9304
O 0.7081 0.5327 0.2926
O 0.7116 0.0279 0.2317
O 0.7884 0.9721 0.7317
O 0.7919 0.4673 0.7926

***

(2)
Starting from a crystal structure in the Materials Project, relaxed with PBE+U, the XRD peak list of VO2F was computed for λ = 1.5418 Å (Cu Kα).
Neutral-atom scattering factors, no anomalous dispersion.

Principal peaks in the range 10 to 90 degrees two-theta, by angle:
23.2°, intensity 100; 25.4°, intensity 43; 34.2°, intensity 13; 35.1°, intensity 7; 42.2°, intensity 6; 47.4°, intensity 20; 52.2°, intensity 8; 53.0°, intensity 8; 53.9°, intensity 15; 57.3°, intensity 8

Structure:
abc: 11.0990 11.0990 5.4801
angles: 102.29 102.29 27.98
Positions (direct):
V 0.0807 0.0807 0.1286
V 0.2734 0.2309 0.2776
V 0.4239 0.4037 0.3777
V 0.5963 0.5761 0.6223
V 0.7691 0.7266 0.7224
V 0.9193 0.9193 0.8714
O 0.1058 0.7592 0.6432
O 0.1951 0.1421 0.1685
O 0.2234 0.4407 0.3368
O 0.2408 0.8942 0.3568
O 0.5275 0.0030 0.4774
O 0.5282 0.4718 0.5000
O 0.5593 0.7766 0.6632
O 0.6568 0.1474 0.1968
O 0.8526 0.3432 0.8032
O 0.8579 0.8049 0.8315
O 0.8982 0.1018 0.0000
O 0.9970 0.4725 0.5226
F 0.1959 0.6614 0.1245
F 0.3386 0.8041 0.8755
F 0.4366 0.0953 0.9891
F 0.5828 0.2194 0.6857
F 0.7806 0.4172 0.3143
F 0.9047 0.5634 0.0109

***

(3)
Starting from a crystal structure in the Materials Project, relaxed with PBE+U, the XRD peak list of CrBiO4 was computed for λ = 1.5418 Å (Cu Kα).
Neutral-atom scattering factors, no anomalous dispersion.

Principal peaks in the range 10 to 90 degrees two-theta, by angle:
18.2°, intensity 51; 24.1°, intensity 100; 32.5°, intensity 37; 32.7°, intensity 37; 34.1°, intensity 14; 39.2°, intensity 17; 47.9°, intensity 30; 48.2°, intensity 31; 49.4°, intensity 16; 62.8°, intensity 14

Structure:
abc: 6.1091 6.1091 7.3855
angles: 126.58 126.58 63.81
Positions (direct):
Cr 0.1251 0.8749 0.7500
Cr 0.8749 0.1251 0.2500
Bi 0.3759 0.6241 0.2500
Bi 0.6241 0.3759 0.7500
O 0.1314 0.2269 0.9212
O 0.2269 0.1314 0.4212
O 0.2896 0.6943 0.9211
O 0.3057 0.7104 0.5789
O 0.6943 0.2896 0.4211
O 0.7104 0.3057 0.0789
O 0.7731 0.8686 0.5788
O 0.8686 0.7731 0.0788

***

(4)
Starting from a crystal structure in the Materials Project, relaxed with PBE+U, the XRD peak list of LiFe2OF5 was computed for λ = 1.5418 Å (Cu Kα).
Neutral-atom scattering factors, no anomalous dispersion.

Principal peaks in the range 10 to 90 degrees two-theta, by angle:
19.2°, intensity 25; 21.1°, intensity 58; 26.6°, intensity 100; 33.1°, intensity 21; 34.8°, intensity 38; 39.8°, intensity 37; 52.4°, intensity 16; 52.5°, intensity 49; 54.8°, intensity 22; 66.6°, intensity 27

Structure:
abc: 4.7353 4.7353 18.4476
angles: 90.06 90.06 90.00
Positions (direct):
Li 0.0041 0.9959 0.5000
Li 0.4955 0.5036 0.7500
Li 0.5036 0.4955 0.2500
Li 0.9959 0.0041 0.0000
Fe 0.0152 0.9918 0.3407
Fe 0.0243 0.0276 0.1681
Fe 0.0276 0.0243 0.6681
Fe 0.4829 0.5270 0.4181
Fe 0.4901 0.4941 0.0907
Fe 0.4941 0.4901 0.5907
Fe 0.5270 0.4829 0.9181
Fe 0.9918 0.0152 0.8407
O 0.2025 0.8028 0.4150
O 0.3042 0.3038 0.1649
O 0.3038 0.3042 0.6649
O 0.8028 0.2025 0.9150
F 0.1884 0.8170 0.7538
F 0.1943 0.8110 0.2522
F 0.2010 0.8058 0.0858
F 0.2040 0.8029 0.5862
F 0.2132 0.7928 0.9143
F 0.3036 0.3048 0.8363
F 0.3048 0.3036 0.3363
F 0.3104 0.3138 0.0022
F 0.3138 0.3104 0.5022
F 0.6879 0.6910 0.0038
F 0.6910 0.6879 0.5038
F 0.7024 0.7021 0.3357
F 0.7021 0.7024 0.8357
F 0.7144 0.7139 0.1643
F 0.7139 0.7144 0.6643
F 0.7928 0.2132 0.4143
F 0.8029 0.2040 0.0862
F 0.8058 0.2010 0.5858
F 0.8110 0.1943 0.7522
F 0.8170 0.1884 0.2538

***

(5)
Starting from a crystal structure in the Materials Project, relaxed with PBE+U, the XRD peak list of CrPbO3 was computed for λ = 1.5418 Å (Cu Kα).
Neutral-atom scattering factors, no anomalous dispersion.

Principal peaks in the range 10 to 90 degrees two-theta, by angle:
22.7°, intensity 34; 32.3°, intensity 100; 39.9°, intensity 26; 46.4°, intensity 29; 52.2°, intensity 18; 57.6°, intensity 39; 67.7°, intensity 18; 72.4°, intensity 10; 77.0°, intensity 17; 81.5°, intensity 10

Structure:
abc: 3.9171 3.9171 3.9171
angles: 90.00 90.00 90.00
Positions (direct):
Cr 0.0000 0.0000 0.0000
Pb 0.5000 0.5000 0.5000
O 0.0000 0.0000 0.5000
O 0.0000 0.5000 0.0000
O 0.5000 0.0000 0.0000

***

(6)
Starting from a crystal structure in the Materials Project, relaxed with PBE+U, the XRD peak list of CoH8S2N4O8 was computed for λ = 1.5418 Å (Cu Kα).
Neutral-atom scattering factors, no anomalous dispersion.

Principal peaks in the range 10 to 90 degrees two-theta, by angle:
12.5°, intensity 100; 15.1°, intensity 53; 19.7°, intensity 82; 22.1°, intensity 50; 24.9°, intensity 46; 25.2°, intensity 80; 28.8°, intensity 51; 29.6°, intensity 51; 30.6°, intensity 29; 34.6°, intensity 32

Structure:
abc: 5.2585 5.9569 7.4374
angles: 86.73 72.22 80.69
Positions (direct):
Co 0.0000 0.0000 0.0000
H 0.1408 0.7146 0.2458
H 0.1460 0.0888 0.6197
H 0.1738 0.4936 0.7954
H 0.4470 0.2701 0.6920
H 0.5787 0.6887 0.3429
H 0.8638 0.4872 0.2157
H 0.8739 0.9064 0.3783
H 0.8842 0.2959 0.7382
S 0.3594 0.2230 0.2196
S 0.6469 0.7740 0.7827
N 0.0726 0.2025 0.7313
N 0.2482 0.3430 0.7240
N 0.7811 0.6404 0.2831
N 0.9435 0.7949 0.2654
O 0.1437 0.2415 0.1184
O 0.3207 0.4389 0.3178
O 0.3325 0.0263 0.3520
O 0.3722 0.8038 0.9256
O 0.6300 0.1932 0.0721
O 0.6742 0.9698 0.6484
O 0.6900 0.5574 0.6841
O 0.8576 0.7579 0.8862

***

(7)
Starting from a crystal structure in the Materials Project, relaxed with PBE+U, the XRD peak list of Li2VO3F was computed for λ = 1.5418 Å (Cu Kα).
Neutral-atom scattering factors, no anomalous dispersion.

Principal peaks in the range 10 to 90 degrees two-theta, by angle:
15.3°, intensity 73; 18.3°, intensity 100; 24.0°, intensity 60; 24.3°, intensity 52; 24.8°, intensity 25; 26.0°, intensity 59; 35.9°, intensity 25; 42.6°, intensity 54; 43.5°, intensity 50; 45.2°, intensity 48

Structure:
abc: 5.0505 5.2135 5.7956
angles: 91.05 91.30 111.69
Positions (direct):
Li 0.0000 0.0000 0.0000
Li 0.0339 0.5147 0.2277
Li 0.5211 0.4786 0.9964
Li 0.5708 0.4766 0.4961
V 0.0342 0.0624 0.4941
V 0.4650 0.9265 0.7569
O 0.2342 0.2452 0.2700
O 0.2387 0.7813 0.5159
O 0.2787 0.7495 0.9797
O 0.2822 0.2136 0.7360
O 0.7372 0.7825 0.7323
O 0.7877 0.2181 0.5096
F 0.7389 0.2323 0.9793
F 0.7957 0.7417 0.2594